Entry 1:
For ZnPbN, DFT lattice parameters and positions (GGA-PBE) gives the simulated PXRD pattern in this record (Cu Kα).
Intensities are scaled so that the largest is 1000.

Structural model:
```
data_ZnPbN
_chemical_formula_sum 'Zn2 Pb2 N2'
_cell_length_a 3.6135
_cell_length_b 3.6626
_cell_length_c 8.5132
_cell_angle_alpha 90.00
_cell_angle_beta 90.00
_cell_angle_gamma 90.00
_space_group_name_H-M_alt 'P m m n'
_space_group_IT_number 59
loop_
_space_group_symop_operation_xyz
'x,y,z'
'-x,-y,-z'
'-x+1/2,-y+1/2,z'
'x+1/2,y+1/2,-z'
'x+1/2,-y,-z'
'-x+1/2,y,z'
'-x,y+1/2,-z'
'x,-y+1/2,z'
loop_
_atom_site_label
_atom_site_type_symbol
_atom_site_fract_x
_atom_site_fract_y
_atom_site_fract_z
Zn1 Zn 0.2500 0.2500 0.0539
Pb1 Pb 0.2500 0.2500 0.6585
N1 N 0.2500 0.7500 0.1352
```

Principal peaks in the range 2θ = 10–90°, low angle first:
| Position (°2θ) | I (rel.) | hkl |
| --- | --- | --- |
| 26.49 | 697 | 0 1 1 |
| 26.80 | 500 | 1 0 1 |
| 32.24 | 803 | 0 1 2 |
| 32.50 | 1000 | 1 0 2 |
| 34.88 | 951 | 1 1 0 |
| 47.72 | 720 | 1 1 3 |

Entry 2:
For ZrPb4N4, DFT lattice parameters and positions (GGA-PBE) gives the simulated PXRD pattern in this record (Cu Kα).
Intensities are scaled so that the largest is 1000.

Structural model:
```
data_ZrPb4N4
_chemical_formula_sum 'Zr4 Pb16 N16'
_cell_length_a 11.4884
_cell_length_b 7.9028
_cell_length_c 10.4014
_cell_angle_alpha 90.00
_cell_angle_beta 122.88
_cell_angle_gamma 90.00
_space_group_name_H-M_alt 'C 1 2/c 1'
_space_group_IT_number 15
_space_group_name_Hall '-C 2yc'
loop_
_atom_site_label
_atom_site_type_symbol
_atom_site_fract_x
_atom_site_fract_y
_atom_site_fract_z
Zr1 Zr 0.0000 0.1874 0.2500
Pb1 Pb 0.1104 0.4028 0.9530
Pb2 Pb 0.1995 0.1859 0.6363
N1 N 0.0600 0.3624 0.1461
N2 N 0.1937 0.0803 0.4133
```

Principal peaks in the range 2θ = 10–90°, low angle first:
| Position (°2θ) | I (rel.) | hkl |
| --- | --- | --- |
| 14.50 | 291 | 1 1 0 |
| 27.40 | 1000 | 2 2 -1 |
| 28.92 | 382 | 1 1 2 |
| 29.08 | 695 | 1 1 -3 |
| 31.14 | 468 | 4 0 -2 |
| 36.43 | 438 | 3 1 1 |

Entry 3:
For ZrPb2N, DFT lattice parameters and positions (GGA-PBE) gives the simulated PXRD pattern in this record (Cu Kα).
Intensities are scaled so that the largest is 1000.

Structural model:
```
data_ZrPb2N
_chemical_formula_sum 'Zr4 Pb8 N4'
_cell_length_a 7.3332
_cell_length_b 7.3332
_cell_length_c 6.3710
_cell_angle_alpha 90.00
_cell_angle_beta 90.00
_cell_angle_gamma 90.00
_space_group_name_H-M_alt 'I -4 2 d'
_space_group_IT_number 122
_space_group_name_Hall 'I -4 2bw'
loop_
_atom_site_label
_atom_site_type_symbol
_atom_site_fract_x
_atom_site_fract_y
_atom_site_fract_z
Zr1 Zr 0.0000 0.0000 0.0000
Pb1 Pb 0.1787 0.2500 0.6250
N1 N 0.0000 0.0000 0.5000
```

Principal peaks in the range 2θ = 10–90°, low angle first:
| Position (°2θ) | I (rel.) | hkl |
| --- | --- | --- |
| 24.27 | 356 | 2 0 0 |
| 30.66 | 762 | 2 1 1 |
| 33.00 | 1000 | 1 1 2 |
| 34.60 | 393 | 2 2 0 |
| 39.49 | 275 | 3 0 1 |
| 48.56 | 299 | 3 1 2 |

Entry 4:
For PdN4, DFT lattice parameters and positions (GGA-PBE) gives the simulated PXRD pattern in this record (Cu Kα).
Intensities are scaled so that the largest is 1000.

Structural model:
```
data_PdN4
_chemical_formula_sum 'Pd1 N4'
_cell_length_a 4.1779
_cell_length_b 4.1779
_cell_length_c 4.1779
_cell_angle_alpha 90.00
_cell_angle_beta 90.00
_cell_angle_gamma 90.00
_space_group_name_H-M_alt 'P m -3 m'
_space_group_IT_number 221
_space_group_name_Hall '-P 4 2 3'
loop_
_atom_site_label
_atom_site_type_symbol
_atom_site_fract_x
_atom_site_fract_y
_atom_site_fract_z
Pd1 Pd 0.0000 0.0000 0.0000
N1 N 0.0000 0.0000 0.5000
N2 N 0.5000 0.5000 0.5000
```

Principal peaks in the range 2θ = 10–90°, low angle first:
| Position (°2θ) | I (rel.) | hkl |
| --- | --- | --- |
| 21.27 | 1000 | 1 0 0 |
| 30.25 | 818 | 1 1 0 |
| 43.31 | 321 | 2 0 0 |
| 48.74 | 425 | 2 1 0 |
| 53.74 | 316 | 2 1 1 |
| 67.23 | 198 | 3 0 0 |

Entry 5:
For PdN, DFT lattice parameters and positions (GGA-PBE) gives the simulated PXRD pattern in this record (Cu Kα).
Intensities are scaled so that the largest is 1000.

Structural model:
```
data_PdN
_chemical_formula_sum 'Pd4 N4'
_cell_length_a 2.8942
_cell_length_b 2.9614
_cell_length_c 12.5947
_cell_angle_alpha 90.00
_cell_angle_beta 90.00
_cell_angle_gamma 90.00
_space_group_name_H-M_alt 'I m m m'
_space_group_IT_number 71
_space_group_name_Hall '-I 2 2'
loop_
_atom_site_label
_atom_site_type_symbol
_atom_site_fract_x
_atom_site_fract_y
_atom_site_fract_z
Pd1 Pd 0.0000 0.0000 0.1706
N1 N 0.0000 0.5000 0.4539
```

Principal peaks in the range 2θ = 10–90°, low angle first:
| Position (°2θ) | I (rel.) | hkl |
| --- | --- | --- |
| 14.06 | 883 | 0 0 2 |
| 31.02 | 539 | 0 1 1 |
| 37.15 | 762 | 0 1 3 |
| 37.75 | 1000 | 1 0 3 |
| 43.73 | 445 | 1 1 0 |
| 46.16 | 391 | 1 1 2 |

Entry 6:
For SiPd2RuN, DFT lattice parameters and positions (GGA-PBE) gives the simulated PXRD pattern in this record (Cu Kα).
Intensities are scaled so that the largest is 1000.

Structural model:
```
data_SiPd2RuN
_chemical_formula_sum 'Si1 Pd2 Ru1 N1'
_cell_length_a 4.1490
_cell_length_b 4.1490
_cell_length_c 3.8388
_cell_angle_alpha 90.00
_cell_angle_beta 90.00
_cell_angle_gamma 90.00
_space_group_name_H-M_alt 'P 4/m m m'
_space_group_IT_number 123
_space_group_name_Hall '-P 4 2'
loop_
_atom_site_label
_atom_site_type_symbol
_atom_site_fract_x
_atom_site_fract_y
_atom_site_fract_z
Si1 Si 0.0000 0.0000 0.0000
Pd1 Pd 0.0000 0.5000 0.5000
Ru1 Ru 0.5000 0.5000 0.0000
N1 N 0.0000 0.0000 0.5000
```

Principal peaks in the range 2θ = 10–90°, low angle first:
| Position (°2θ) | I (rel.) | hkl |
| --- | --- | --- |
| 38.63 | 1000 | 1 1 1 |
| 43.63 | 407 | 2 0 0 |
| 47.36 | 159 | 0 0 2 |
| 63.41 | 129 | 2 2 0 |
| 66.35 | 225 | 2 0 2 |
| 76.77 | 263 | 3 1 1 |

Entry 7:
For ThSbPdN, DFT lattice parameters and positions (GGA-PBE) gives the simulated PXRD pattern in this record (Cu Kα).
Intensities are scaled so that the largest is 1000.

Structural model:
```
data_ThSbPdN
_chemical_formula_sum 'Th2 Sb2 Pd2 N2'
_cell_length_a 3.4737
_cell_length_b 3.4737
_cell_length_c 14.0392
_cell_angle_alpha 90.00
_cell_angle_beta 90.00
_cell_angle_gamma 90.00
_space_group_name_H-M_alt 'I 4 m m'
_space_group_IT_number 107
_space_group_name_Hall 'I 4 -2'
loop_
_atom_site_label
_atom_site_type_symbol
_atom_site_fract_x
_atom_site_fract_y
_atom_site_fract_z
Th1 Th 0.0000 0.0000 0.0000
Sb1 Sb 0.0000 0.0000 0.2551
Pd1 Pd 0.0000 0.0000 0.6581
N1 N 0.0000 0.0000 0.4973
```

Principal peaks in the range 2θ = 10–90°, low angle first:
| Position (°2θ) | I (rel.) | hkl |
| --- | --- | --- |
| 25.38 | 306 | 0 0 4 |
| 32.09 | 1000 | 1 0 3 |
| 36.58 | 606 | 1 1 0 |
| 41.35 | 309 | 1 0 5 |
| 52.70 | 325 | 2 0 0 |
| 63.05 | 297 | 2 1 3 |

Entry 8:
For Sm3PdN, DFT lattice parameters and positions (GGA-PBE) gives the simulated PXRD pattern in this record (Cu Kα).
Intensities are scaled so that the largest is 1000.

Structural model:
```
data_Sm3PdN
_chemical_formula_sum 'Sm6 Pd2 N2'
_cell_length_a 7.8189
_cell_length_b 3.6448
_cell_length_c 8.4915
_cell_angle_alpha 90.00
_cell_angle_beta 108.75
_cell_angle_gamma 90.00
_space_group_name_H-M_alt 'P 1 2/m 1'
_space_group_IT_number 10
_space_group_name_Hall '-P 2y'
loop_
_atom_site_label
_atom_site_type_symbol
_atom_site_fract_x
_atom_site_fract_y
_atom_site_fract_z
Sm1 Sm 0.0824 0.0000 0.3386
Sm2 Sm 0.3049 0.0000 0.0418
Sm3 Sm 0.3275 0.5000 0.6938
Pd1 Pd 0.0000 0.5000 0.0000
Pd2 Pd 0.5000 0.0000 0.5000
N1 N 0.0000 0.5000 0.5000
N2 N 0.5000 0.5000 0.0000
```

Principal peaks in the range 2θ = 10–90°, low angle first:
| Position (°2θ) | I (rel.) | hkl |
| --- | --- | --- |
| 29.63 | 475 | 2 0 1 |
| 30.95 | 1000 | 1 1 1 |
| 32.76 | 830 | 1 1 -2 |
| 33.43 | 490 | 0 0 3 |
| 33.79 | 662 | 2 1 -1 |
| 60.45 | 483 | 2 1 -5 |